This entry pairs a crystal structure of Er6NiI10 with its theoretical X-ray diffraction stick pattern. Radiation: Cu Kα (weighted mean of Kα1 and Kα2). Structure: DFT lattice parameters and positions (GGA-PBE).

Structural model:
a = 7.6515 Å, b = 9.5960 Å, c = 9.6045 Å
α = 107.36°, β = 97.01°, γ = 104.91°
Element x y z (fractional)
Er 0.0279 0.2202 0.4158
Er 0.1101 0.5381 0.2638
Er 0.3402 0.6220 0.6613
Er 0.6598 0.3780 0.3387
Er 0.8899 0.4619 0.7362
Er 0.9721 0.7798 0.5842
Ni 0.0000 0.5000 0.5000
I 0.0862 0.8735 0.3180
I 0.2205 0.2393 0.1507
I 0.2625 0.5894 0.9659
I 0.3570 0.9556 0.7749
I 0.4530 0.3142 0.5938
I 0.5470 0.6858 0.4062
I 0.6430 0.0444 0.2251
I 0.7375 0.4106 0.0341
I 0.7795 0.7607 0.8493
I 0.9138 0.1265 0.6820

Top 6 peaks for 2θ = 10–80°, by angle:
10.16 deg, rel. 23, (0 1 0); 28.58 deg, rel. 50, (2 0 1); 29.38 deg, rel. 100, (1 -3 0); 41.18 deg, rel. 30, (3 1 -2); 41.69 deg, rel. 18, (1 3 1); 42.14 deg, rel. 17, (0 4 -3)